1.
The following is a theoretical powder XRD pattern of MgCo6O7F5. It was derived from a DFT-relaxed cell (GGA+U, the Materials Project), using Cu Ka.

Cell and atoms:
```
MgCo6O7F5
1.0
5.7338 0.0000 0.0000
-2.4344 5.3775 0.0000
-1.3269 -2.6870 6.9760
Mg Co O F
1 6 7 5
direct
0.0000 0.0000 0.0000 Mg
0.3015 0.5547 0.3766 Co
0.3534 0.9703 0.7934 Co
0.6350 0.0166 0.1923 Co
0.6645 0.4675 0.6426 Co
0.9916 0.4973 0.0027 Co
0.9925 0.9846 0.4930 Co
0.0240 0.6895 0.8323 O
0.2156 0.7986 0.5313 O
0.2990 0.3138 0.5006 O
0.3382 0.6925 0.1782 O
0.6407 0.2950 0.8268 O
0.6703 0.6771 0.4907 O
0.9642 0.3005 0.1678 O
0.0910 0.1526 0.7962 F
0.3952 0.1540 0.0945 F
0.5943 0.8293 0.8817 F
0.7649 0.1877 0.4767 F
0.8975 0.8294 0.1930 F
```

The 10 most intense peaks (2θ from 5° to 70°), by angle:
(-1 1 1), 2θ = 22.6°, rel. 100; (1 1 -1), 2θ = 28.3°, rel. 77; (1 -2 2), 2θ = 35.8°, rel. 66; (2 -1 1), 2θ = 36.2°, rel. 19; (0 1 -3), 2θ = 36.3°, rel. 21; (-2 2 2), 2θ = 46.2°, rel. 16; (0 1 3), 2θ = 48.7°, rel. 15; (2 1 1), 2θ = 54.9°, rel. 20; (3 0 0), 2θ = 55.6°, rel. 16; (2 -2 4), 2θ = 64.4°, rel. 24


2.
The following is a theoretical powder XRD pattern of MgCo6O6F6. It was derived from a DFT-relaxed cell (GGA+U, the Materials Project), using Cu Ka.

Cell and atoms:
```
MgCo6O6F6
1.0
5.0679 0.0000 0.0000
-0.5928 5.0955 0.0000
-0.1430 -0.0619 8.6238
Mg Co O F
1 6 6 6
direct
0.0000 0.0000 0.0000 Mg
0.0873 0.5032 0.1920 Co
0.1119 0.4972 0.8202 Co
0.4718 0.0440 0.6677 Co
0.4875 0.0273 0.0109 Co
0.5393 0.1204 0.3362 Co
0.9232 0.6575 0.5083 Co
0.1892 0.7431 0.6550 O
0.2135 0.6982 0.0168 O
0.2836 0.1716 0.8371 O
0.3022 0.2104 0.1752 O
0.6787 0.9186 0.5043 O
0.8341 0.4030 0.3394 O
0.2093 0.7762 0.3423 F
0.3330 0.2615 0.5024 F
0.7133 0.8795 0.8445 F
0.7413 0.9028 0.1726 F
0.7821 0.3900 0.6820 F
0.8303 0.3228 0.0078 F
```

The 10 most intense peaks (2θ from 5° to 70°), by angle:
(1 -1 0), 2θ = 23.4°, rel. 94; (1 1 0), 2θ = 26.3°, rel. 100; (0 1 -3), 2θ = 35.7°, rel. 50; (0 1 3), 2θ = 36.0°, rel. 22; (1 0 3), 2θ = 36.3°, rel. 20; (-1 1 3), 2θ = 39.1°, rel. 26; (1 -1 3), 2θ = 39.4°, rel. 17; (-1 2 2), 2θ = 43.3°, rel. 22; (2 1 3), 2θ = 53.5°, rel. 16; (0 0 6), 2θ = 64.9°, rel. 19


3.
The following is a theoretical powder XRD pattern of MgCo6O7F5. It was derived from a DFT-relaxed cell (GGA+U, the Materials Project), using Cu Ka.

Cell and atoms:
```
MgCo6O7F5
1.0
5.1812 0.0000 0.0000
0.9875 5.6513 0.0000
0.8439 1.1936 7.5136
Mg Co O F
1 6 7 5
direct
0.0000 0.0000 0.0000 Mg
0.4663 0.1820 0.8351 Co
0.5397 0.9084 0.1962 Co
0.5422 0.5601 0.5383 Co
0.9285 0.0253 0.5003 Co
0.9512 0.3648 0.1987 Co
0.9544 0.6506 0.8149 Co
0.2811 0.1479 0.0696 O
0.2973 0.4827 0.7355 O
0.6544 0.2354 0.6112 O
0.6607 0.5756 0.2927 O
0.6719 0.8962 0.9419 O
0.7680 0.7330 0.6032 O
0.8056 0.0626 0.2505 O
0.1122 0.6442 0.0643 F
0.1296 0.3087 0.4090 F
0.1397 0.9831 0.7512 F
0.2801 0.8336 0.4172 F
0.8117 0.3545 0.9475 F
```

The 10 most intense peaks (2θ from 5° to 70°), by angle:
(1 0 0), 2θ = 17.4°, rel. 15; (1 1 1), 2θ = 22.8°, rel. 100; (-1 1 1), 2θ = 27.7°, rel. 80; (1 1 -2), 2θ = 35.3°, rel. 38; (1 -1 2), 2θ = 35.8°, rel. 42; (0 2 -1), 2θ = 36.0°, rel. 18; (-1 1 4), 2θ = 54.5°, rel. 15; (1 -3 0), 2θ = 55.2°, rel. 15; (-2 2 2), 2θ = 57.2°, rel. 14; (0 2 -4), 2θ = 63.9°, rel. 15


4.
The following is a theoretical powder XRD pattern of MgCo6O7F5. It was derived from a DFT-relaxed cell (GGA+U, the Materials Project), using Cu Ka.

Cell and atoms:
```
MgCo6O7F5
1.0
5.0113 0.0000 0.0000
1.0520 4.9499 0.0000
0.2396 0.3928 8.6204
Mg Co O F
1 6 7 5
direct
0.0000 0.0000 0.0000 Mg
0.0498 0.6149 0.4885 Co
0.4890 0.0556 0.9833 Co
0.4965 0.0526 0.6343 Co
0.5127 0.0214 0.3285 Co
0.8841 0.4792 0.1655 Co
0.9785 0.5310 0.8100 Co
0.1593 0.3311 0.9850 O
0.2095 0.3831 0.6489 O
0.3200 0.8710 0.4693 O
0.6748 0.1809 0.1457 O
0.7784 0.7292 0.9785 O
0.8059 0.7323 0.3270 O
0.8153 0.7536 0.6480 O
0.2111 0.3612 0.3187 F
0.2885 0.8627 0.1507 F
0.2951 0.8901 0.8299 F
0.6956 0.2267 0.4668 F
0.7205 0.2148 0.8204 F
```

The 10 most intense peaks (2θ from 5° to 70°), by angle:
(1 1 0), 2θ = 22.8°, rel. 100; (1 -1 0), 2θ = 28.2°, rel. 83; (0 1 3), 2θ = 35.4°, rel. 25; (1 0 3), 2θ = 35.9°, rel. 19; (1 0 -3), 2θ = 36.5°, rel. 18; (0 1 -3), 2θ = 36.9°, rel. 21; (2 1 3), 2θ = 48.4°, rel. 16; (-2 1 3), 2θ = 55.2°, rel. 15; (2 -1 3), 2θ = 55.5°, rel. 21; (2 -2 0), 2θ = 58.2°, rel. 15


5.
The following is a theoretical powder XRD pattern of MgCo6O6F6. It was derived from a DFT-relaxed cell (GGA+U, the Materials Project), using Cu Ka.

Cell and atoms:
```
MgCo6O6F6
1.0
5.1768 0.0000 0.0000
0.0000 2.9986 0.0000
-1.6492 0.0000 14.2304
Mg Co O F
1 6 6 6
direct
0.0000 0.0000 0.0000 Mg
0.0330 0.4976 0.3480 Co
0.4270 0.9987 0.2080 Co
0.5000 0.4997 0.0000 Co
0.5000 0.9972 0.5000 Co
0.5730 0.9987 0.7920 Co
0.9670 0.4976 0.6520 Co
0.1392 0.9978 0.2769 O
0.3236 0.4973 0.4371 O
0.3745 0.9997 0.0705 O
0.6255 0.9997 0.9295 O
0.6764 0.4973 0.5629 O
0.8608 0.9978 0.7231 O
0.1254 0.4999 0.9259 F
0.1721 0.9975 0.5944 F
0.3387 0.4987 0.7497 F
0.6613 0.4987 0.2503 F
0.8279 0.9975 0.4056 F
0.8746 0.4999 0.0741 F
```

The 10 most intense peaks (2θ from 5° to 70°), by angle:
(1 0 1), 2θ = 19.0°, rel. 54; (1 0 -3), 2θ = 24.0°, rel. 80; (1 0 3), 2θ = 27.0°, rel. 99; (1 0 -4), 2θ = 28.8°, rel. 96; (1 0 4), 2θ = 32.2°, rel. 49; (2 0 0), 2θ = 34.9°, rel. 100; (0 1 3), 2θ = 35.4°, rel. 92; (1 1 -2), 2θ = 36.2°, rel. 74; (1 1 -7), 2θ = 55.8°, rel. 59; (1 1 7), 2θ = 59.4°, rel. 61


6.
The following is a theoretical powder XRD pattern of MgCo6O7F5. It was derived from a DFT-relaxed cell (GGA+U, the Materials Project), using Cu Ka.

Cell and atoms:
```
MgCo6O7F5
1.0
5.7412 0.0000 0.0000
-2.3977 5.4239 0.0000
-1.2777 -2.6920 6.9377
Mg Co O F
1 6 7 5
direct
0.0000 0.0000 0.0000 Mg
0.0308 0.5245 0.0191 Co
0.0341 0.0073 0.4968 Co
0.3856 0.4720 0.3112 Co
0.3961 0.0365 0.8401 Co
0.6485 0.0516 0.2087 Co
0.7085 0.4858 0.6493 Co
0.0005 0.3182 0.1760 O
0.0565 0.7093 0.8431 O
0.3512 0.3190 0.4996 O
0.3854 0.6973 0.1785 O
0.4115 0.1855 0.1216 O
0.6775 0.3286 0.8440 O
0.7257 0.6737 0.4803 O
0.1091 0.1624 0.8000 F
0.2681 0.8453 0.5646 F
0.6117 0.8524 0.8873 F
0.8075 0.2054 0.4916 F
0.9291 0.8375 0.1972 F
```

The 10 most intense peaks (2θ from 5° to 70°), by angle:
(-1 1 1), 2θ = 22.8°, rel. 100; (1 1 -1), 2θ = 28.0°, rel. 76; (0 2 0), 2θ = 35.5°, rel. 17; (1 0 2), 2θ = 35.8°, rel. 48; (2 -1 1), 2θ = 36.0°, rel. 20; (0 1 -3), 2θ = 36.4°, rel. 21; (-2 2 2), 2θ = 46.5°, rel. 17; (0 1 3), 2θ = 48.9°, rel. 16; (3 -2 0), 2θ = 49.4°, rel. 15; (1 0 -4), 2θ = 50.1°, rel. 14


7.
The following is a theoretical powder XRD pattern of MgCo6O10F2. It was derived from a DFT-relaxed cell (GGA+U, the Materials Project), using Cu Ka.

Cell and atoms:
```
MgCo6O10F2
1.0
4.9563 0.0000 0.0000
0.0000 2.8627 0.0000
-0.7680 0.0000 13.9879
Mg Co O F
1 6 10 2
direct
0.0000 0.0000 0.0000 Mg
0.0000 0.0039 0.5000 Co
0.1456 0.0015 0.8080 Co
0.4665 0.5036 0.3559 Co
0.5000 0.5001 0.0000 Co
0.5335 0.5036 0.6441 Co
0.8544 0.0015 0.1920 Co
0.1755 0.5039 0.5628 O
0.1793 0.5005 0.9138 O
0.2957 0.0037 0.4135 O
0.3565 0.0001 0.0686 O
0.3970 0.0034 0.7200 O
0.6030 0.0034 0.2800 O
0.6435 0.0001 0.9314 O
0.7043 0.0037 0.5865 O
0.8207 0.5005 0.0862 O
0.8245 0.5039 0.4372 O
0.0999 0.5020 0.2451 F
0.9001 0.5020 0.7549 F
```

The 10 most intense peaks (2θ from 5° to 70°), by angle:
(1 0 -3), 2θ = 25.5°, rel. 66; (1 0 3), 2θ = 27.0°, rel. 100; (1 0 -4), 2θ = 30.5°, rel. 36; (1 1 0), 2θ = 36.3°, rel. 48; (0 1 3), 2θ = 36.8°, rel. 51; (1 1 -3), 2θ = 40.8°, rel. 38; (2 0 3), 2θ = 42.3°, rel. 19; (1 1 6), 2θ = 54.8°, rel. 40; (2 0 6), 2θ = 55.6°, rel. 19; (0 2 0), 2θ = 65.2°, rel. 18


8.
The following is a theoretical powder XRD pattern of MgCo6O6F6. It was derived from a DFT-relaxed cell (GGA+U, the Materials Project), using Cu Ka.

Cell and atoms:
```
MgCo6O6F6
1.0
4.9636 0.0000 0.0000
0.0000 8.7156 0.0000
-0.8124 0.0000 4.9520
Mg Co O F
1 6 6 6
direct
0.0000 0.0000 0.0000 Mg
0.1054 0.5000 0.3183 Co
0.4835 0.0000 0.9054 Co
0.5580 0.3347 0.9576 Co
0.5580 0.6653 0.9576 Co
0.9467 0.1883 0.5293 Co
0.9467 0.8117 0.5293 Co
0.1656 0.0000 0.6416 O
0.3827 0.5000 0.1204 O
0.7028 0.1564 0.8002 O
0.7028 0.8436 0.8002 O
0.8532 0.3337 0.2406 O
0.8532 0.6663 0.2406 O
0.2550 0.3427 0.6390 F
0.2550 0.6573 0.6390 F
0.2968 0.1536 0.0906 F
0.2968 0.8464 0.0906 F
0.7407 0.5000 0.7656 F
0.7519 0.0000 0.2598 F
```

The 10 most intense peaks (2θ from 5° to 70°), by angle:
(1 0 -1), 2θ = 23.4°, rel. 100; (1 1 -1), 2θ = 25.6°, rel. 28; (1 0 1), 2θ = 27.6°, rel. 97; (0 3 1), 2θ = 35.8°, rel. 51; (1 3 0), 2θ = 35.9°, rel. 49; (1 3 -1), 2θ = 39.0°, rel. 41; (1 3 1), 2θ = 41.8°, rel. 21; (2 2 -1), 2θ = 43.7°, rel. 24; (2 3 1), 2θ = 54.5°, rel. 35; (2 3 -2), 2θ = 58.0°, rel. 29